Structure and simulated powder diffractogram of CeTlCdAu (a cell relaxed with GGA-PBE; Cu Kα (λ = 1.5418 Å)).
Neutral-atom scattering factors, no anomalous dispersion.

Cell and atoms:
a = 5.156 Å, b = 5.156 Å, c = 5.156 Å
α = 60.00°, β = 60.00°, γ = 60.00°
Sites, in units of the cell vectors:
Ce1 0.000 0.000 0.000
Tl1 0.250 0.250 0.250
Cd1 0.500 0.500 0.500
Au1 0.750 0.750 0.750

Top 10 peaks for 15 to 90 degrees two-theta, by angle:
two_theta  I (rel.)
24.4  6
34.8  100
43.0  2
50.0  18
56.4  3
62.4  37
73.5  11
78.8  1
83.9  16
89.1  1

=====

Structure and simulated powder diffractogram of Ac2B10Ru (a cell relaxed with GGA-PBE; Cu Kα (λ = 1.5418 Å)).
Neutral-atom scattering factors, no anomalous dispersion.

Cell and atoms:
a = 5.880 Å, b = 11.721 Å, c = 4.308 Å
α = 90.00°, β = 90.00°, γ = 90.00°
Sites, in units of the cell vectors:
Ac1 0.218 0.132 0.000
Ac2 0.282 0.632 0.000
Ac3 0.718 0.368 0.000
Ac4 0.782 0.868 0.000
B1 0.061 0.308 0.500
B2 0.121 0.957 0.500
B3 0.136 0.804 0.500
B4 0.220 0.382 0.204
B5 0.220 0.382 0.796
B6 0.280 0.882 0.204
B7 0.280 0.882 0.796
B8 0.364 0.304 0.500
B9 0.379 0.457 0.500
B10 0.439 0.808 0.500
B11 0.561 0.192 0.500
B12 0.621 0.543 0.500
B13 0.636 0.696 0.500
B14 0.720 0.118 0.204
B15 0.720 0.118 0.796
B16 0.780 0.618 0.204
B17 0.780 0.618 0.796
B18 0.864 0.196 0.500
B19 0.879 0.043 0.500
B20 0.939 0.692 0.500
Ru1 0.000 0.500 0.500
Ru2 0.500 0.000 0.500

Top 10 peaks for 15 to 90 degrees two-theta, by angle:
two_theta  I (rel.)
20.6  26
21.4  80
26.8  16
29.9  100
37.1  87
41.9  17
43.6  27
47.6  28
53.8  16
62.1  16

=====

Structure and simulated powder diffractogram of Tb6SmNi3 (a cell relaxed with GGA-PBE; Cu Kα (λ = 1.5418 Å)).
Neutral-atom scattering factors, no anomalous dispersion.

Cell and atoms:
a = 8.560 Å, b = 8.560 Å, c = 7.051 Å
α = 90.00°, β = 90.00°, γ = 99.20°
Sites, in units of the cell vectors:
Tb1 0.031 0.969 0.500
Tb2 0.034 0.418 0.345
Tb3 0.227 0.773 0.153
Tb4 0.295 0.370 0.993
Tb5 0.370 0.295 0.493
Tb6 0.418 0.034 0.845
Tb7 0.582 0.966 0.345
Tb8 0.630 0.705 0.993
Tb9 0.705 0.630 0.493
Tb10 0.773 0.227 0.653
Tb11 0.966 0.582 0.845
Tb12 0.969 0.031 0.000
Sm1 0.320 0.680 0.616
Sm2 0.680 0.320 0.116
Ni1 0.087 0.298 0.710
Ni2 0.298 0.087 0.210
Ni3 0.420 0.580 0.284
Ni4 0.580 0.420 0.784
Ni5 0.702 0.913 0.710
Ni6 0.913 0.702 0.210

Top 10 peaks for 15 to 90 degrees two-theta, by angle:
two_theta  I (rel.)
28.8  45
30.0  46
30.2  76
31.8  57
32.3  30
33.1  54
34.3  100
35.9  74
40.8  30
58.4  30

=====

Structure and simulated powder diffractogram of La3AlRe (a cell relaxed with GGA-PBE; Cu Kα (λ = 1.5418 Å)).
Neutral-atom scattering factors, no anomalous dispersion.

Cell and atoms:
a = 5.490 Å, b = 5.490 Å, c = 5.490 Å
α = 90.00°, β = 90.00°, γ = 90.00°
Sites, in units of the cell vectors:
La1 0.000 0.000 0.500
La2 0.000 0.500 0.000
La3 0.500 0.000 0.000
Al1 0.500 0.500 0.500
Re1 0.000 0.000 0.000

Top 10 peaks for 15 to 90 degrees two-theta, by angle:
two_theta  I (rel.)
16.1  100
28.2  27
32.6  83
36.6  54
46.8  61
49.8  28
58.2  21
70.8  16
77.8  27
86.9  21